Structure and computed powder XRD pattern of BaSmCo4O12 (DFT lattice parameters and positions (GGA+U); a wavelength of 1.5418 Å).
Neutral-atom scattering factors, no anomalous dispersion.

Atomic structure:
```
data_BaSmCo4O12
_cell_length_a 5.3918
_cell_length_b 5.3918
_cell_length_c 7.5599
_cell_angle_alpha 90.00
_cell_angle_beta 90.00
_cell_angle_gamma 90.00
_space_group_name_H-M_alt 'P 4/m m m'
_space_group_IT_number 123
_space_group_name_Hall '-P 4 2'
loop_
_atom_site_label
_atom_site_fract_x
_atom_site_fract_y
_atom_site_fract_z
Ba1 0.0000 0.0000 0.0000
Sm1 0.5000 0.5000 0.5000
Co1 0.0000 0.5000 0.2491
O1 0.0000 0.5000 0.0000
O2 0.0000 0.5000 0.5000
O3 0.2607 0.2607 0.2659
```

Peak list (10 most intense, 2θ from 10° to 90°, sorted by position)
| 2theta | I/Imax | hkl |
| --- | --- | --- |
| 20.23 | 100.0 | 1 0 1 |
| 33.23 | 39.0 | 2 0 0 |
| 33.38 | 76.5 | 1 1 2 |
| 39.22 | 36.0 | 2 1 1 |
| 39.47 | 17.5 | 1 0 3 |
| 47.71 | 32.1 | 2 2 0 |
| 48.15 | 15.3 | 0 0 4 |
| 52.53 | 15.8 | 2 1 3 |
| 59.47 | 29.4 | 3 1 2 |
| 70.11 | 17.4 | 2 2 4 |